NiS2NO: theoretical XRD peak list (Cu Ka), based on the PBE+U geometry in Alexandria.
Lines closer than 0.1° are merged.

Peak list (10 most intense, 2θ = 10–90°, sorted by position)
2θ 19.4, I 979, hkl 1 0 0; 2θ 26.3, I 606, hkl 0 0 1; 2θ 32.9, I 611, hkl 1 0 1; 2θ 39.3, I 1000, hkl 2 0 0; 2θ 44.2, I 215, hkl 2 1 0; 2θ 47.9, I 447, hkl 2 0 1; 2θ 52.2, I 309, hkl 2 1 1; 2θ 56.8, I 297, hkl 2 2 0; 2θ 63.7, I 190, hkl 2 2 1; 2θ 69.0, I 311, hkl 2 0 2

Structure:
abc: 4.584 4.584 3.383
angles: 90.00 90.00 90.00
Space group P4/mmm (No. 123)
One atom of each set of equivalent atoms:
1 Ni 0.000 0.000 0.000 [1 per cell]
2 S 0.000 0.500 0.000 [2 per cell]
3 N 0.000 0.000 0.500 [1 per cell]
4 O 0.500 0.500 0.500 [1 per cell]